PmScCuPt: calculated PXRD pattern (λ = 1.5418 Å (Cu Kα)), based on a crystal structure in Alexandria, relaxed with PBE.
No peak broadening, texture or thermal motion is included.

Structure:
abc: 6.886 6.886 6.886
angles: 90.00 90.00 90.00
Space group F-43m (No. 216)
Asymmetric unit:
Pm 0.000 0.000 0.000 x4
Sc 0.000 0.000 0.500 x4
Cu 0.250 0.250 0.250 x4
Pt 0.250 0.250 0.750 x4

Principal peaks in the range 2θ from 5° to 70°, by angle:
- 2θ = 22.4°, I 29, hkl 1 1 1
- 2θ = 25.9°, I 3, hkl 2 0 0
- 2θ = 36.9°, I 100, hkl 2 2 0
- 2θ = 43.6°, I 16, hkl 3 1 1
- 2θ = 45.6°, I 1, hkl 2 2 2
- 2θ = 53.2°, I 17, hkl 4 0 0
- 2θ = 58.4°, I 7, hkl 3 3 1
- 2θ = 60.1°, I 1, hkl 4 2 0
- 2θ = 66.5°, I 35, hkl 4 2 2

***

PrVAs3: calculated PXRD pattern (λ = 1.5418 Å (Cu Kα)), based on a crystal structure in Alexandria, relaxed with PBE.
No peak broadening, texture or thermal motion is included.

Structure:
abc: 12.662 5.778 5.610
angles: 90.00 90.00 90.00
Space group Pbcm (No. 57)
Asymmetric unit:
Pr 0.188 0.003 0.250 x4
V 0.417 0.750 0.000 x4
As 0.001 0.750 0.000 x4
As 0.291 0.505 0.250 x4
As 0.429 0.111 0.250 x4

Principal peaks in the range 2θ from 5° to 70°, by angle:
- 2θ = 23.2°, I 30, hkl 1 1 1
- 2θ = 26.2°, I 27, hkl 2 1 1
- 2θ = 34.1°, I 57, hkl 2 2 0
- 2θ = 35.0°, I 44, hkl 2 0 2
- 2θ = 35.4°, I 19, hkl 5 0 0
- 2θ = 36.1°, I 100, hkl 4 1 1
- 2θ = 37.7°, I 17, hkl 3 2 0
- 2θ = 45.0°, I 49, hkl 0 2 2
- 2θ = 59.6°, I 23, hkl 4 1 3
- 2θ = 68.0°, I 18, hkl 8 0 2

***

Tb2PmEr7: calculated PXRD pattern (λ = 1.5418 Å (Cu Kα)), based on a crystal structure in Alexandria, relaxed with PBE.
No peak broadening, texture or thermal motion is included.

Structure:
abc: 12.359 11.340 5.503
angles: 90.00 116.27 90.00
Space group C2/m (No. 12)
Asymmetric unit:
Tb 0.000 0.161 0.000 x4
Pm 0.000 0.000 0.500 x2
Er 0.000 0.337 0.500 x4
Er 0.000 0.500 0.000 x2
Er 0.247 0.349 0.247 x8

Principal peaks in the range 2θ from 5° to 70°, by angle:
- 2θ = 17.9°, I 11, hkl 1 1 -1
- 2θ = 24.1°, I 15, hkl 1 1 1
- 2θ = 32.3°, I 27, hkl 4 0 0
- 2θ = 32.5°, I 27, hkl 2 0 -2
- 2θ = 33.0°, I 100, hkl 1 3 1
- 2θ = 46.4°, I 10, hkl 2 0 2
- 2θ = 46.6°, I 10, hkl 6 0 -2
- 2θ = 58.1°, I 20, hkl 5 3 1
- 2θ = 58.3°, I 20, hkl 5 3 -3
- 2θ = 59.2°, I 8, hkl 4 6 0

***

La2Tb3Ho: calculated PXRD pattern (λ = 1.5418 Å (Cu Kα)), based on a crystal structure in Alexandria, relaxed with PBE.
No peak broadening, texture or thermal motion is included.

Structure:
abc: 7.127 9.876 5.717
angles: 90.00 90.00 90.00
Space group Pnnm (No. 58)
Asymmetric unit:
La 0.249 0.168 0.000 x4
Tb 0.000 0.500 0.000 x2
Tb 0.250 0.333 0.500 x4
Ho 0.000 0.000 0.500 x2

Principal peaks in the range 2θ from 5° to 70°, by angle:
- 2θ = 30.9°, I 95, hkl 2 2 0
- 2θ = 31.3°, I 100, hkl 0 3 1
- 2θ = 40.5°, I 9, hkl 2 3 1
- 2θ = 44.6°, I 35, hkl 2 2 2
- 2θ = 51.3°, I 8, hkl 4 0 0
- 2θ = 55.5°, I 24, hkl 2 1 3
- 2θ = 55.6°, I 12, hkl 2 5 1
- 2θ = 55.7°, I 13, hkl 0 3 3
- 2θ = 61.3°, I 29, hkl 4 3 1
- 2θ = 65.4°, I 8, hkl 0 6 2

***

Tb7PtSe5: calculated PXRD pattern (λ = 1.5418 Å (Cu Kα)), based on a crystal structure in Alexandria, relaxed with PBE.
No peak broadening, texture or thermal motion is included.

Structure:
abc: 3.978 13.489 24.498
angles: 90.00 90.00 90.00
Space group Cmc2_1 (No. 36)
Asymmetric unit:
Tb 0.000 0.042 0.000 x4
Tb 0.000 0.138 0.712 x4
Tb 0.000 0.139 0.288 x4
Tb 0.000 0.295 0.931 x4
Tb 0.000 0.296 0.069 x4
Tb 0.000 0.412 0.635 x4
Tb 0.000 0.413 0.364 x4
Pt 0.000 0.306 0.500 x4
Se 0.000 0.056 0.605 x4
Se 0.000 0.057 0.395 x4
Se 0.000 0.220 0.821 x4
Se 0.000 0.221 0.179 x4
Se 0.000 0.500 0.250 x4

Principal peaks in the range 2θ from 5° to 70°, by angle:
- 2θ = 28.7°, I 82, hkl 0 2 7
- 2θ = 30.2°, I 26, hkl 1 3 1
- 2θ = 30.9°, I 100, hkl 1 3 2
- 2θ = 32.0°, I 68, hkl 1 3 3
- 2θ = 32.1°, I 30, hkl 0 2 8
- 2θ = 40.7°, I 40, hkl 1 1 9
- 2θ = 44.3°, I 29, hkl 0 6 5
- 2θ = 44.6°, I 28, hkl 1 5 5
- 2θ = 45.6°, I 36, hkl 2 0 0
- 2θ = 54.8°, I 27, hkl 2 2 7

***

La5Tb8Mg: calculated PXRD pattern (λ = 1.5418 Å (Cu Kα)), based on a crystal structure in Alexandria, relaxed with PBE.
No peak broadening, texture or thermal motion is included.

Structure:
abc: 9.737 9.737 10.066
angles: 90.00 90.00 90.00
Space group I-4 (No. 82)
Asymmetric unit:
La 0.000 0.000 0.000 x2
La 0.103 0.215 0.419 x8
Tb 0.069 0.330 0.093 x8
Tb 0.085 0.185 0.756 x8
Mg 0.000 0.500 0.750 x2

Principal peaks in the range 2θ from 5° to 70°, by angle:
- 2θ = 22.2°, I 12, hkl 1 2 1
- 2θ = 28.1°, I 38, hkl 1 0 3
- 2θ = 29.0°, I 100, hkl 3 1 0
- 2θ = 31.5°, I 19, hkl 2 2 2
- 2θ = 33.7°, I 75, hkl 1 2 3
- 2θ = 34.1°, I 30, hkl 3 1 2
- 2θ = 34.4°, I 34, hkl 3 2 1
- 2θ = 47.6°, I 14, hkl 1 5 0
- 2θ = 54.5°, I 19, hkl 5 0 3
- 2θ = 63.1°, I 16, hkl 3 1 6

***

LaRh2Se: calculated PXRD pattern (λ = 1.5418 Å (Cu Kα)), based on a crystal structure in Alexandria, relaxed with PBE.
No peak broadening, texture or thermal motion is included.

Structure:
abc: 4.3924 4.3924 14.8053
angles: 90.00 90.00 120.00
Space group R3m (No. 160, hexagonal axes)
Asymmetric unit:
La 0.0000 0.0000 0.0000 x3
Rh 0.0000 0.0000 0.4905 x3
Rh 0.0000 0.0000 0.7887 x3
Se 0.0000 0.0000 0.2081 x3

Principal peaks in the range 2θ from 5° to 70°, by angle:
- 2θ = 18.0°, I 16, hkl 0 0 3
- 2θ = 24.2°, I 13, hkl 1 0 1
- 2θ = 26.3°, I 11, hkl 0 1 2
- 2θ = 33.8°, I 100, hkl 1 0 4
- 2θ = 36.4°, I 13, hkl 0 0 6
- 2θ = 38.5°, I 27, hkl 0 1 5
- 2θ = 41.1°, I 92, hkl 1 1 0
- 2θ = 54.2°, I 26, hkl 0 2 4
- 2θ = 56.1°, I 22, hkl 1 1 6
- 2θ = 67.9°, I 16, hkl 1 0 10

***

Nd2Sn3Pd2: calculated PXRD pattern (λ = 1.5418 Å (Cu Kα)), based on a crystal structure in Alexandria, relaxed with PBE.
No peak broadening, texture or thermal motion is included.

Structure:
abc: 11.005 4.455 7.417
angles: 90.00 113.32 90.00
Space group C2/m (No. 12)
Asymmetric unit:
Nd 0.149 0.000 0.293 x4
Sn 0.000 0.500 0.500 x2
Sn 0.119 0.500 0.950 x4
Pd 0.144 0.000 0.731 x4

Principal peaks in the range 2θ from 5° to 70°, by angle:
- 2θ = 31.4°, I 100, hkl 1 1 -2
- 2θ = 31.7°, I 62, hkl 3 1 -1
- 2θ = 33.3°, I 61, hkl 3 1 0
- 2θ = 35.4°, I 69, hkl 3 1 -2
- 2θ = 35.5°, I 39, hkl 4 0 0
- 2θ = 37.0°, I 74, hkl 1 1 2
- 2θ = 37.2°, I 28, hkl 2 0 2
- 2θ = 40.5°, I 69, hkl 0 2 0
- 2θ = 55.0°, I 29, hkl 4 2 0
- 2θ = 62.7°, I 35, hkl 7 1 -2

***

CsGe3Te3: calculated PXRD pattern (λ = 1.5418 Å (Cu Kα)), based on a crystal structure in Alexandria, relaxed with PBE.
No peak broadening, texture or thermal motion is included.

Structure:
abc: 8.6514 8.6514 28.6191
angles: 90.00 90.00 120.00
Space group R-3m (No. 166, hexagonal axes)
Asymmetric unit:
Cs 0.0000 0.0000 0.2004 x6
Ge 0.0887 0.5443 0.6261 x18
Te 0.0074 0.5037 0.7613 x18

Principal peaks in the range 2θ from 5° to 70°, by angle:
- 2θ = 12.2°, I 58, hkl 1 0 1
- 2θ = 18.6°, I 26, hkl 0 0 6
- 2θ = 24.6°, I 100, hkl 2 0 2
- 2θ = 26.9°, I 21, hkl 0 2 4
- 2θ = 27.6°, I 27, hkl 0 1 8
- 2θ = 28.5°, I 46, hkl 2 0 5
- 2θ = 32.4°, I 39, hkl 0 2 7
- 2θ = 34.7°, I 26, hkl 2 0 8
- 2θ = 41.8°, I 35, hkl 2 2 0
- 2θ = 49.0°, I 21, hkl 0 4 2

***

TlCd2Hg7Pb2: calculated PXRD pattern (λ = 1.5418 Å (Cu Kα)), based on a crystal structure in Alexandria, relaxed with PBE.
No peak broadening, texture or thermal motion is included.

Structure:
abc: 26.956 4.952 4.956
angles: 90.00 100.48 90.00
Space group C2/m (No. 12)
Asymmetric unit:
Tl 0.000 0.000 0.000 x2
Cd 0.162 0.500 0.662 x4
Hg 0.000 0.500 0.500 x2
Hg 0.086 0.000 0.587 x4
Hg 0.086 0.500 0.086 x4
Hg 0.163 0.000 0.162 x4
Pb 0.250 0.000 0.751 x4

Principal peaks in the range 2θ from 5° to 70°, by angle:
- 2θ = 32.6°, I 100, hkl 5 1 1
- 2θ = 36.3°, I 38, hkl 0 2 0
- 2θ = 40.9°, I 13, hkl 12 0 0
- 2θ = 52.2°, I 14, hkl 2 2 -2
- 2θ = 55.7°, I 16, hkl 12 2 0
- 2θ = 55.8°, I 5, hkl 14 0 -2
- 2θ = 63.0°, I 31, hkl 5 3 1
- 2θ = 68.3°, I 6, hkl 10 2 2
- 2θ = 68.4°, I 6, hkl 14 2 -2
- 2θ = 69.2°, I 11, hkl 19 1 -1

***

NbPb2S5: calculated PXRD pattern (λ = 1.5418 Å (Cu Kα)), based on a crystal structure in Alexandria, relaxed with PBE.
No peak broadening, texture or thermal motion is included.

Structure:
abc: 13.522 6.194 7.075
angles: 90.00 121.53 90.00
Space group Cm (No. 8)
Asymmetric unit:
Nb 0.000 0.000 0.000 x2
Pb 0.197 0.000 0.697 x2
Pb 0.211 0.500 0.212 x2
S 0.065 0.253 0.305 x4
S 0.066 0.253 0.827 x4
S 0.305 0.500 0.805 x2

Principal peaks in the range 2θ from 5° to 70°, by angle:
- 2θ = 15.4°, I 39, hkl 2 0 0
- 2θ = 19.0°, I 29, hkl 1 1 -1
- 2θ = 24.6°, I 100, hkl 3 1 -1
- 2θ = 25.2°, I 17, hkl 2 0 -2
- 2θ = 29.6°, I 20, hkl 0 0 2
- 2θ = 36.7°, I 26, hkl 5 1 -1
- 2θ = 38.6°, I 30, hkl 2 2 -2
- 2θ = 40.4°, I 18, hkl 2 0 2
- 2θ = 44.0°, I 22, hkl 5 1 -3
- 2θ = 48.6°, I 17, hkl 1 3 1

***

Nd3Sn7: calculated PXRD pattern (λ = 1.5418 Å (Cu Kα)), based on a crystal structure in Alexandria, relaxed with PBE.
No peak broadening, texture or thermal motion is included.

Structure:
abc: 4.543 26.486 4.591
angles: 90.00 90.00 90.00
Space group Cmmm (No. 65)
Asymmetric unit:
Nd 0.000 0.000 0.000 x2
Nd 0.000 0.186 0.000 x4
Sn 0.000 0.096 0.500 x4
Sn 0.000 0.288 0.500 x4
Sn 0.000 0.404 0.000 x4
Sn 0.000 0.500 0.500 x2

Principal peaks in the range 2θ from 5° to 70°, by angle:
- 2θ = 32.5°, I 100, hkl 1 5 1
- 2θ = 33.8°, I 18, hkl 0 10 0
- 2θ = 39.2°, I 16, hkl 0 0 2
- 2θ = 39.7°, I 16, hkl 2 0 0
- 2θ = 52.8°, I 11, hkl 0 10 2
- 2θ = 53.1°, I 10, hkl 2 10 0
- 2θ = 57.0°, I 11, hkl 2 0 2
- 2θ = 66.9°, I 13, hkl 1 5 3
- 2θ = 67.5°, I 13, hkl 3 5 1
- 2θ = 68.0°, I 10, hkl 2 10 2

***

LiPaZnCo: calculated PXRD pattern (λ = 1.5418 Å (Cu Kα)), based on a crystal structure in Alexandria, relaxed with PBE.
No peak broadening, texture or thermal motion is included.

Structure:
abc: 6.333 6.333 6.333
angles: 90.00 90.00 90.00
Space group F-43m (No. 216)
Asymmetric unit:
Li 0.000 0.000 0.000 x4
Pa 0.250 0.250 0.250 x4
Zn 0.250 0.250 0.750 x4
Co 0.000 0.000 0.500 x4

Principal peaks in the range 2θ from 5° to 70°, by angle:
- 2θ = 24.3°, I 49, hkl 1 1 1
- 2θ = 28.2°, I 51, hkl 2 0 0
- 2θ = 40.3°, I 100, hkl 2 2 0
- 2θ = 47.6°, I 26, hkl 3 1 1
- 2θ = 49.9°, I 15, hkl 2 2 2
- 2θ = 58.3°, I 17, hkl 4 0 0
- 2θ = 64.1°, I 11, hkl 3 3 1
- 2θ = 66.0°, I 20, hkl 4 2 0